Structure and calculated powder X-ray diffraction pattern of Pm3Zn (a GGA-PBE-relaxed structure; Cu Kα (weighted mean of Kα1 and Kα2)).
Intensities are scaled so that the largest is 100.

Cell and atoms:
```
data_Pm3Zn
_chemical_formula_sum 'Pm6 Zn2'
_cell_length_a 3.787
_cell_length_b 5.402
_cell_length_c 11.560
_cell_angle_alpha 90.00
_cell_angle_beta 90.00
_cell_angle_gamma 90.00
_space_group_name_H-M_alt 'I m m m'
_space_group_IT_number 71
_space_group_name_Hall '-I 2 2'
loop_
_atom_site_label
_atom_site_fract_x
_atom_site_fract_y
_atom_site_fract_z
_atom_site_occupancy
Pm1 0.000 0.000 0.000 1
Pm2 0.000 0.500 0.212 1
Zn1 0.000 0.000 0.500 1
```

Peak list (6 most intense, 10 to 90 degrees two-theta, sorted by position)
28.5°, I 22, (0 1 3); 30.9°, I 19, (0 0 4); 32.8°, I 100, (1 1 2); 33.2°, I 30, (0 2 0); 46.0°, I 23, (0 2 4); 59.0°, I 18, (1 3 2)

---

Structure and calculated powder X-ray diffraction pattern of PmGa8Pd4 (a GGA-PBE-relaxed structure; Cu Kα (weighted mean of Kα1 and Kα2)).
Intensities are scaled so that the largest is 100.

Cell and atoms:
```
data_PmGa8Pd4
_chemical_formula_sum 'Pm2 Ga16 Pd8'
_cell_length_a 8.902
_cell_length_b 8.902
_cell_length_c 5.571
_cell_angle_alpha 90.00
_cell_angle_beta 90.00
_cell_angle_gamma 90.00
_space_group_name_H-M_alt 'I 4/m m m'
_space_group_IT_number 139
_space_group_name_Hall '-I 4 2'
loop_
_atom_site_label
_atom_site_fract_x
_atom_site_fract_y
_atom_site_fract_z
_atom_site_occupancy
Pm1 0.000 0.000 0.000 1
Ga1 0.000 0.218 0.500 1
Ga2 0.000 0.349 0.000 1
Pd1 0.250 0.250 0.250 1
```

Peak list (6 most intense, 10 to 90 degrees two-theta, sorted by position)
34.2°, I 39, (3 0 1); 38.1°, I 100, (2 0 2); 39.9°, I 77, (3 2 1); 40.5°, I 65, (4 0 0); 43.4°, I 61, (2 2 2); 45.6°, I 29, (4 2 0)